Starting from a DFT-relaxed cell (GGA+U, Alexandria), the powder XRD pattern of Li4Cr3CuP4O16 was calculated for Cu Ka.
Lines closer than 0.1° are merged.

Most intense lines, 2θ = 5–70°, low angle first:
2θ 17.38, I = 236, hkl 0 0 2; 2θ 20.54, I = 523, hkl 1 0 -1; 2θ 25.05, I = 592, hkl 1 1 1; 2θ 28.59, I = 591, hkl 0 2 0; 2θ 35.46, I = 1000, hkl 1 1 3; 2θ 38.73, I = 249, hkl 2 0 -1

Crystal structure
```
data_Li4Cr3CuP4O16
_symmetry_space_group_name_H-M 'P 1 m 1'
_symmetry_Int_Tables_number 6
_cell_length_a 4.7737
_cell_length_b 6.2439
_cell_length_c 10.2033
_cell_angle_alpha 90.00
_cell_angle_beta 90.11
_cell_angle_gamma 90.00
loop_
_symmetry_equiv_pos_as_xyz
'x,y,z'
'x,-y,z'
loop_
_atom_site_label
_atom_site_type_symbol
_atom_site_fract_x
_atom_site_fract_y
_atom_site_fract_z
Li1 Li 0.0000 0.2423 0.0000
Li2 Li 0.4955 0.2423 0.5135
Cr1 Cr 0.0457 0.0000 0.2902
Cr2 Cr 0.5522 0.5000 0.2236
Cr3 Cr 0.9648 0.5000 0.7241
Cu1 Cu 0.4456 0.0000 0.7916
P1 P 0.0908 0.5000 0.4134
P2 P 0.4144 0.5000 0.9103
P3 P 0.5877 0.0000 0.0996
P4 P 0.9206 0.0000 0.6000
O1 O 0.2020 0.5000 0.5577
O2 O 0.2265 0.3009 0.3460
O3 O 0.2443 0.0000 0.6030
O4 O 0.2639 0.0000 0.1091
O5 O 0.2739 0.3025 0.8424
O6 O 0.3125 0.5000 0.0554
O7 O 0.6972 0.0000 0.9565
O8 O 0.7240 0.1986 0.1687
O9 O 0.7382 0.5000 0.9008
O10 O 0.7680 0.5000 0.4049
O11 O 0.7901 0.2023 0.6663
O12 O 0.8029 0.0000 0.4561
```